Record 1
Diffraction record for Pr2P6Pd21. The X-ray powder pattern is theoretical, not measured: it uses a DFT-relaxed cell (PBE, Alexandria) and Cu Ka.

Cell and atoms:
```
data_Pr2P6Pd21
_chemical_formula_sum 'Pr8 P24 Pd84'
_symmetry_space_group_name_H-M 'F m -3 m'
_symmetry_Int_Tables_number 225
_symmetry_space_group_name_Hall '-F 4 2 3'
_cell_length_a 12.264
_cell_length_b 12.264
_cell_length_c 12.264
_cell_angle_alpha 90.00
_cell_angle_beta 90.00
_cell_angle_gamma 90.00
loop_
_atom_site_label
_atom_site_type_symbol
_atom_site_fract_x
_atom_site_fract_y
_atom_site_fract_z
Pr1 Pr 0.250 0.250 0.250
P1 P 0.000 0.000 0.240
Pd1 Pd 0.000 0.000 0.500
Pd2 Pd 0.000 0.172 0.328
Pd3 Pd 0.113 0.113 0.113
```

The 8 most intense peaks (5° ≤ 2θ ≤ 70°), by angle:
d (Å)	I_rel	hkl
2.742	29	4 2 0
2.503	29	4 2 2
2.360	100	3 3 3
2.168	29	4 4 0
2.073	28	5 3 1
1.849	14	6 2 2
1.445	29	6 6 0
1.416	13	5 5 5

---

Record 2
Diffraction record for ErTmIn2S6. The X-ray powder pattern is theoretical, not measured: it uses a DFT-relaxed cell (PBE, Alexandria) and Cu Ka.

Cell and atoms:
```
data_ErTmIn2S6
_chemical_formula_sum 'Er3 Tm3 In6 S18'
_symmetry_space_group_name_H-M 'R 3'
_symmetry_Int_Tables_number 146
_symmetry_space_group_name_Hall 'R 3'
_cell_length_a 6.7572
_cell_length_b 6.7572
_cell_length_c 18.1564
_cell_angle_alpha 90.00
_cell_angle_beta 90.00
_cell_angle_gamma 120.00
loop_
_atom_site_label
_atom_site_type_symbol
_atom_site_fract_x
_atom_site_fract_y
_atom_site_fract_z
Er1 Er 0.0000 0.0000 0.0000
Tm1 Tm 0.0000 0.0000 0.4995
In1 In 0.0000 0.0000 0.2945
In2 In 0.0000 0.0000 0.7950
S1 S 0.0067 0.3054 0.8997
S2 S 0.0082 0.7034 0.4000
```

The 8 most intense peaks (5° ≤ 2θ ≤ 70°), by angle:
d (Å)	I_rel	hkl
4.919	43	0 1 2
3.587	100	1 0 4
3.379	90	1 1 0
2.459	47	0 2 4
2.254	74	2 -1 6
1.988	47	3 -1 4
1.951	47	3 0 0
1.734	23	1 0 10

---

Record 3
Diffraction record for SrLiAlO3. The X-ray powder pattern is theoretical, not measured: it uses a DFT-relaxed cell (PBE, Alexandria) and Cu Ka.

Cell and atoms:
```
data_SrLiAlO3
_chemical_formula_sum 'Sr2 Li2 Al2 O6'
_symmetry_space_group_name_H-M 'I 4 m m'
_symmetry_Int_Tables_number 107
_symmetry_space_group_name_Hall 'I 4 -2'
_cell_length_a 3.702
_cell_length_b 3.702
_cell_length_c 10.135
_cell_angle_alpha 90.00
_cell_angle_beta 90.00
_cell_angle_gamma 90.00
loop_
_atom_site_label
_atom_site_type_symbol
_atom_site_fract_x
_atom_site_fract_y
_atom_site_fract_z
Sr1 Sr 0.000 0.000 0.000
Li1 Li 0.000 0.000 0.711
Al1 Al 0.000 0.000 0.333
O1 O 0.000 0.000 0.514
O2 O 0.000 0.500 0.296
```

The 8 most intense peaks (5° ≤ 2θ ≤ 70°), by angle:
d (Å)	I_rel	hkl
5.067	68	0 0 2
3.477	78	1 0 1
2.618	58	1 1 0
2.534	36	0 0 4
2.495	100	1 0 3
2.326	99	1 1 2
1.851	52	2 0 0
1.487	42	2 1 3

---

Record 4
Diffraction record for Pm2BOsC. The X-ray powder pattern is theoretical, not measured: it uses a DFT-relaxed cell (PBE, Alexandria) and Cu Ka.

Cell and atoms:
```
data_Pm2BOsC
_chemical_formula_sum 'Pm4 B2 Os2 C2'
_symmetry_space_group_name_H-M 'P 1 21/m 1'
_symmetry_Int_Tables_number 11
_cell_length_a 5.961
_cell_length_b 3.855
_cell_length_c 8.686
_cell_angle_alpha 90.00
_cell_angle_beta 107.70
_cell_angle_gamma 90.00
loop_
_symmetry_equiv_pos_as_xyz
'x,y,z'
'-x,-y,-z'
'-x,y+1/2,-z'
'x,-y+1/2,z'
loop_
_atom_site_label
_atom_site_type_symbol
_atom_site_fract_x
_atom_site_fract_y
_atom_site_fract_z
Pm1 Pm 0.188 0.250 0.373
Pm2 Pm 0.253 0.750 0.018
B1 B 0.378 0.750 0.694
Os1 Os 0.283 0.250 0.727
C1 C 0.028 0.250 0.822
```

The 8 most intense peaks (5° ≤ 2θ ≤ 70°), by angle:
d (Å)	I_rel	hkl
3.163	100	1 1 -1
2.841	95	2 0 0
2.820	42	1 1 1
2.762	78	0 0 3
2.340	62	1 1 2
1.928	29	0 2 0
1.762	49	3 1 -1
1.595	35	2 2 0

---

Record 5
Diffraction record for Pa2InCuO8. The X-ray powder pattern is theoretical, not measured: it uses a DFT-relaxed cell (PBE, Alexandria) and Cu Ka.

Cell and atoms:
```
data_Pa2InCuO8
_chemical_formula_sum 'Pa4 In2 Cu2 O16'
_symmetry_space_group_name_H-M 'I -4'
_symmetry_Int_Tables_number 82
_cell_length_a 5.314
_cell_length_b 5.314
_cell_length_c 10.972
_cell_angle_alpha 90.00
_cell_angle_beta 90.00
_cell_angle_gamma 90.00
loop_
_symmetry_equiv_pos_as_xyz
'x,y,z'
'y,-x,-z'
'-x,-y,z'
'-y,x,-z'
'x+1/2,y+1/2,z+1/2'
'y+1/2,-x+1/2,-z+1/2'
'-x+1/2,-y+1/2,z+1/2'
'-y+1/2,x+1/2,-z+1/2'
loop_
_atom_site_label
_atom_site_type_symbol
_atom_site_fract_x
_atom_site_fract_y
_atom_site_fract_z
Pa1 Pa 0.000 0.000 0.000
Pa2 Pa 0.000 0.500 0.250
In1 In 0.000 0.000 0.500
Cu1 Cu 0.000 0.500 0.750
O1 O 0.188 0.236 0.832
O2 O 0.188 0.705 0.415
```

The 8 most intense peaks (5° ≤ 2θ ≤ 70°), by angle:
d (Å)	I_rel	hkl
4.783	26	1 0 1
3.100	100	1 1 2
2.743	15	0 0 4
2.657	23	2 0 0
1.908	30	2 0 4
1.879	15	2 2 0
1.644	16	1 1 6
1.607	31	3 1 2

---

Record 6
Diffraction record for Ti6AlBi. The X-ray powder pattern is theoretical, not measured: it uses a DFT-relaxed cell (PBE, Alexandria) and Cu Ka.

Cell and atoms:
```
data_Ti6AlBi
_chemical_formula_sum 'Ti12 Al2 Bi2'
_symmetry_space_group_name_H-M 'A m m 2'
_symmetry_Int_Tables_number 38
_cell_length_a 4.736
_cell_length_b 6.230
_cell_length_c 9.660
_cell_angle_alpha 90.00
_cell_angle_beta 90.00
_cell_angle_gamma 90.00
loop_
_symmetry_equiv_pos_as_xyz
'x,y,z'
'-x,-y,z'
'-x,y,z'
'x,-y,z'
'x,y+1/2,z+1/2'
'-x,-y+1/2,z+1/2'
'-x,y+1/2,z+1/2'
'x,-y+1/2,z+1/2'
loop_
_atom_site_label
_atom_site_type_symbol
_atom_site_fract_x
_atom_site_fract_y
_atom_site_fract_z
Ti1 Ti 0.000 0.000 0.000
Ti2 Ti 0.000 0.222 0.722
Ti3 Ti 0.500 0.000 0.257
Ti4 Ti 0.500 0.234 0.541
Al1 Al 0.500 0.000 0.802
Bi1 Bi 0.000 0.000 0.455
```

The 8 most intense peaks (5° ≤ 2θ ≤ 70°), by angle:
d (Å)	I_rel	hkl
5.236	51	0 1 1
4.736	23	1 0 0
3.512	33	1 1 1
2.618	23	0 2 2
2.449	27	1 1 3
2.368	35	2 0 0
2.291	100	1 2 2
2.151	28	1 0 4